The following is a simulated X-ray diffraction stick pattern of AcLa2US8. It was derived from a cell relaxed with GGA-PBE, using Cu Kα (weighted mean of Kα1 and Kα2).
Peak positions follow from Bragg's law for the DFT cell and can differ from measured ones.

Cell lengths 4.7690, 6.9189, 9.3013 Å; angles 90.00, 90.00, 90.00 degrees
Element x y z (fractional)
Ac1 0.0000 0.0000 0.0000
La1 0.5000 0.5000 0.2503
La2 0.5000 0.5000 0.7497
U1 0.0000 0.0000 0.5000
S1 0.0000 0.2420 0.2811
S2 0.0000 0.2420 0.7189
S3 0.0000 0.7580 0.2811
S4 0.0000 0.7580 0.7189
S5 0.5000 0.2136 0.5000
S6 0.5000 0.2594 0.0000
S7 0.5000 0.7406 0.0000
S8 0.5000 0.7864 0.5000

Largest 12 diffraction maxima, by angle, 10° ≤ 2θ ≤ 90°:
d 3.927, intensity 99.7
d 3.860, intensity 98.4
d 3.330, intensity 26.5
d 2.399, intensity 100.0
d 2.385, intensity 25.5
d 2.325, intensity 21.9
d 2.076, intensity 19.3
d 2.066, intensity 17.6
d 2.029, intensity 35.1
d 2.001, intensity 32.5
d 1.549, intensity 23.4
d 1.379, intensity 17.2